Entry 1:
Structure and computed powder X-ray diffraction pattern of Zr6CCl14 (a crystal structure in the Materials Project, relaxed with PBE; a wavelength of 1.5418 Å).
Intensities are scaled so that the largest is 100.

The 12 most intense peaks (10 to 90 degrees two-theta), by angle:
2θ 11.90, intensity 100; 2θ 12.34, intensity 8; 2θ 25.02, intensity 12; 2θ 31.50, intensity 7; 2θ 31.80, intensity 7; 2θ 32.37, intensity 9; 2θ 35.98, intensity 13; 2θ 36.76, intensity 30; 2θ 38.41, intensity 13; 2θ 40.76, intensity 8; 2θ 42.24, intensity 8; 2θ 49.14, intensity 12

Structure:
```
data_Zr6CCl14
_symmetry_space_group_name_H-M 'P 1'
_symmetry_Int_Tables_number 1
_symmetry_space_group_name_Hall 'P 1'
_cell_length_a 9.6777
_cell_length_b 9.6777
_cell_length_c 11.6933
_cell_angle_alpha 90.00
_cell_angle_beta 90.00
_cell_angle_gamma 84.36
loop_
_atom_site_label
_atom_site_fract_x
_atom_site_fract_y
_atom_site_fract_z
Zr1 0.0460 0.1836 0.8832
Zr2 0.1441 0.8559 0.8950
Zr3 0.1836 0.0460 0.1168
Zr4 0.3164 0.4540 0.6168
Zr5 0.3559 0.6441 0.3950
Zr6 0.4540 0.3164 0.3832
Zr7 0.5460 0.6836 0.6168
Zr8 0.6441 0.3559 0.6050
Zr9 0.6836 0.5460 0.3832
Zr10 0.8164 0.9540 0.8832
Zr11 0.8559 0.1441 0.1050
Zr12 0.9540 0.8164 0.1168
C1 0.0000 0.0000 0.0000
C2 0.5000 0.5000 0.5000
Cl1 0.0354 0.2097 0.2473
Cl2 0.1033 0.3967 0.7500
Cl3 0.1155 0.6380 0.0089
Cl4 0.1380 0.6155 0.5089
Cl5 0.1568 0.8432 0.2603
Cl6 0.2097 0.0354 0.7527
Cl7 0.2486 0.2486 0.0000
Cl8 0.2514 0.2514 0.5000
Cl9 0.2903 0.4646 0.2527
Cl10 0.3432 0.6568 0.7603
Cl11 0.3620 0.8845 0.0089
Cl12 0.3845 0.8620 0.5089
Cl13 0.3967 0.1033 0.2500
Cl14 0.4646 0.2903 0.7473
Cl15 0.5354 0.7097 0.2527
Cl16 0.6033 0.8967 0.7500
Cl17 0.6155 0.1380 0.4911
Cl18 0.6380 0.1155 0.9911
Cl19 0.6568 0.3432 0.2397
Cl20 0.7097 0.5354 0.7473
Cl21 0.7486 0.7486 0.5000
Cl22 0.7514 0.7514 0.0000
Cl23 0.7903 0.9646 0.2473
Cl24 0.8432 0.1568 0.7397
Cl25 0.8620 0.3845 0.4911
Cl26 0.8845 0.3620 0.9911
Cl27 0.8967 0.6033 0.2500
Cl28 0.9646 0.7903 0.7527
```

Entry 2:
Structure and computed powder X-ray diffraction pattern of SmMg3 (a crystal structure in the Materials Project, relaxed with PBE; a wavelength of 1.5418 Å).
Intensities are scaled so that the largest is 100.

The 12 most intense peaks (10 to 90 degrees two-theta), by angle:
2θ 20.85, intensity 69; 2θ 24.13, intensity 37; 2θ 34.38, intensity 100; 2θ 40.55, intensity 38; 2θ 42.44, intensity 11; 2θ 49.41, intensity 18; 2θ 54.19, intensity 16; 2θ 55.72, intensity 15; 2θ 61.58, intensity 36; 2θ 65.77, intensity 12; 2θ 76.36, intensity 12; 2θ 82.73, intensity 15

Structure:
```
data_SmMg3
_symmetry_space_group_name_H-M 'P 1'
_symmetry_Int_Tables_number 1
_symmetry_space_group_name_Hall 'P 1'
_cell_length_a 5.2170
_cell_length_b 5.2170
_cell_length_c 5.2170
_cell_angle_alpha 60.00
_cell_angle_beta 60.00
_cell_angle_gamma 60.00
loop_
_atom_site_label
_atom_site_fract_x
_atom_site_fract_y
_atom_site_fract_z
Sm1 0.0000 0.0000 0.0000
Mg1 0.2500 0.2500 0.2500
Mg2 0.5000 0.5000 0.5000
Mg3 0.7500 0.7500 0.7500
```

Entry 3:
Structure and computed powder X-ray diffraction pattern of MgAl4Cu2O8 (a crystal structure in the Materials Project, relaxed with PBE; a wavelength of 1.5418 Å).
Intensities are scaled so that the largest is 100.

The 12 most intense peaks (10 to 90 degrees two-theta), by angle:
2θ 28.13, intensity 100; 2θ 33.11, intensity 58; 2θ 43.99, intensity 11; 2θ 45.20, intensity 5; 2θ 49.79, intensity 31; 2θ 53.03, intensity 36; 2θ 58.16, intensity 44; 2θ 65.83, intensity 9; 2θ 68.59, intensity 5; 2θ 80.03, intensity 21; 2θ 82.60, intensity 10; 2θ 86.85, intensity 5

Structure:
```
data_MgAl4Cu2O8
_symmetry_space_group_name_H-M 'P 1'
_symmetry_Int_Tables_number 1
_symmetry_space_group_name_Hall 'P 1'
_cell_length_a 6.3444
_cell_length_b 6.3444
_cell_length_c 6.3444
_cell_angle_alpha 60.00
_cell_angle_beta 60.00
_cell_angle_gamma 60.00
loop_
_atom_site_label
_atom_site_fract_x
_atom_site_fract_y
_atom_site_fract_z
Mg1 0.0000 0.0000 0.0000
Al1 0.1448 0.1448 0.1448
Al2 0.1448 0.1448 0.5657
Al3 0.1448 0.5657 0.1448
Al4 0.5657 0.1448 0.1448
Cu1 0.5000 0.5000 0.5000
Cu2 0.7500 0.7500 0.7500
O1 0.3467 0.8844 0.8844
O2 0.3532 0.3532 0.3532
O3 0.3532 0.3532 0.9404
O4 0.3532 0.9404 0.3532
O5 0.8844 0.3467 0.8844
O6 0.8844 0.8844 0.3467
O7 0.8844 0.8844 0.8844
O8 0.9404 0.3532 0.3532
```

Entry 4:
Structure and computed powder X-ray diffraction pattern of VP2 (a crystal structure in the Materials Project, relaxed with PBE; a wavelength of 1.5418 Å).
Intensities are scaled so that the largest is 100.

The 12 most intense peaks (10 to 90 degrees two-theta), by angle:
2θ 21.16, intensity 33; 2θ 36.90, intensity 100; 2θ 37.77, intensity 21; 2θ 38.37, intensity 23; 2θ 43.34, intensity 31; 2θ 44.78, intensity 29; 2θ 46.86, intensity 34; 2θ 47.11, intensity 37; 2θ 47.22, intensity 20; 2θ 49.38, intensity 27; 2θ 50.70, intensity 38; 2θ 59.51, intensity 25

Structure:
```
data_VP2
_symmetry_space_group_name_H-M 'P 1'
_symmetry_Int_Tables_number 1
_symmetry_space_group_name_Hall 'P 1'
_cell_length_a 4.5042
_cell_length_b 4.5042
_cell_length_c 7.1734
_cell_angle_alpha 117.23
_cell_angle_beta 117.23
_cell_angle_gamma 40.35
loop_
_atom_site_label
_atom_site_fract_x
_atom_site_fract_y
_atom_site_fract_z
V1 0.1564 0.1564 0.1980
V2 0.8436 0.8436 0.8020
P1 0.1424 0.1424 0.5299
P2 0.3997 0.3997 0.0989
P3 0.6003 0.6003 0.9011
P4 0.8576 0.8576 0.4701
```

Entry 5:
Structure and computed powder X-ray diffraction pattern of LiEr2Ru (a crystal structure in the Materials Project, relaxed with PBE; a wavelength of 1.5418 Å).
Intensities are scaled so that the largest is 100.

The 12 most intense peaks (10 to 90 degrees two-theta), by angle:
2θ 22.38, intensity 12; 2θ 25.90, intensity 32; 2θ 36.95, intensity 100; 2θ 43.63, intensity 6; 2θ 45.68, intensity 10; 2θ 53.25, intensity 18; 2θ 58.47, intensity 3; 2θ 60.14, intensity 13; 2θ 66.58, intensity 36; 2θ 71.21, intensity 2; 2θ 78.67, intensity 11; 2θ 84.48, intensity 6

Structure:
```
data_LiEr2Ru
_symmetry_space_group_name_H-M 'P 1'
_symmetry_Int_Tables_number 1
_symmetry_space_group_name_Hall 'P 1'
_cell_length_a 4.8652
_cell_length_b 4.8652
_cell_length_c 4.8652
_cell_angle_alpha 60.00
_cell_angle_beta 60.00
_cell_angle_gamma 60.00
loop_
_atom_site_label
_atom_site_fract_x
_atom_site_fract_y
_atom_site_fract_z
Li1 0.0000 0.0000 0.0000
Er1 0.2500 0.2500 0.2500
Er2 0.7500 0.7500 0.7500
Ru1 0.5000 0.5000 0.5000
```

Entry 6:
Structure and computed powder X-ray diffraction pattern of Co2NiSe4 (a crystal structure in the Materials Project, relaxed with PBE; a wavelength of 1.5418 Å).
Intensities are scaled so that the largest is 100.

The 12 most intense peaks (10 to 90 degrees two-theta), by angle:
2θ 16.95, intensity 24; 2θ 33.36, intensity 100; 2θ 33.79, intensity 38; 2θ 34.21, intensity 41; 2θ 45.03, intensity 50; 2θ 45.70, intensity 31; 2θ 46.20, intensity 23; 2θ 50.78, intensity 30; 2θ 51.25, intensity 56; 2θ 61.40, intensity 16; 2θ 62.67, intensity 16; 2θ 70.07, intensity 12

Structure:
```
data_Co2NiSe4
_symmetry_space_group_name_H-M 'P 1'
_symmetry_Int_Tables_number 1
_symmetry_space_group_name_Hall 'P 1'
_cell_length_a 6.2567
_cell_length_b 6.2567
_cell_length_c 6.1599
_cell_angle_alpha 117.96
_cell_angle_beta 117.96
_cell_angle_gamma 33.40
loop_
_atom_site_label
_atom_site_fract_x
_atom_site_fract_y
_atom_site_fract_z
Co1 0.2390 0.2390 0.2201
Co2 0.7610 0.7610 0.7799
Ni1 0.5000 0.5000 0.5000
Se1 0.1378 0.1378 0.4793
Se2 0.3754 0.3754 0.0400
Se3 0.6246 0.6246 0.9600
Se4 0.8622 0.8622 0.5207
```

Entry 7:
Structure and computed powder X-ray diffraction pattern of ZnSn3 (a crystal structure in the Materials Project, relaxed with PBE; a wavelength of 1.5418 Å).
Intensities are scaled so that the largest is 100.

The 12 most intense peaks (10 to 90 degrees two-theta), by angle:
2θ 20.79, intensity 3; 2θ 24.05, intensity 2; 2θ 34.27, intensity 100; 2θ 40.42, intensity 2; 2θ 49.24, intensity 18; 2θ 54.00, intensity 1; 2θ 55.53, intensity 1; 2θ 61.36, intensity 38; 2θ 65.53, intensity 1; 2θ 72.20, intensity 12; 2θ 76.08, intensity 1; 2θ 82.41, intensity 17

Structure:
```
data_ZnSn3
_symmetry_space_group_name_H-M 'P 1'
_symmetry_Int_Tables_number 1
_symmetry_space_group_name_Hall 'P 1'
_cell_length_a 5.2336
_cell_length_b 5.2336
_cell_length_c 5.2336
_cell_angle_alpha 60.00
_cell_angle_beta 60.00
_cell_angle_gamma 60.00
loop_
_atom_site_label
_atom_site_fract_x
_atom_site_fract_y
_atom_site_fract_z
Zn1 0.0000 0.0000 0.0000
Sn1 0.2500 0.2500 0.2500
Sn2 0.5000 0.5000 0.5000
Sn3 0.7500 0.7500 0.7500
```